Theoretical X-ray powder pattern of LaMnSi for Cu Kα, from the PBE geometry in the Materials Project.

The 10 most intense peaks (2θ from 10° to 80°), in order of rising 2θ:
Position (°2θ)  I/Imax
24.99  100
31.48  35
32.19  94
33.62  52
34.94  29
39.41  80
45.12  53
52.71  35
56.51  37
71.85  28

Cell and atoms:
Unit cell a=4.018 b=4.018 c=7.703 alpha=90.00 beta=90.00 gamma=90.00
Space group P4/nmm (No. 129, origin choice 2)
Inequivalent atoms, fractional coordinates:
La1 0.250 0.250 0.179 [2 per cell]
Mn1 0.250 0.750 0.500 [2 per cell]
Si1 0.250 0.250 0.675 [2 per cell]